# B2C3
Theoretical PXRD pattern, Cu Kα (weighted mean of Kα1 and Kα2). Input: a DFT-relaxed cell (PBE, Alexandria).
No peak broadening, texture or thermal motion is included.

The 6 most intense peaks (15 to 90 degrees two-theta), in order of rising 2θ:
2θ (°)	d/Å	I (rel.)
41.46	2.178	100
43.22	2.093	31
44.13	2.052	35
69.86	1.346	15
71.19	1.325	24
73.98	1.281	12

Cell and atoms:
abc: 4.3781 4.3781 6.2565
angles: 108.22 108.22 34.04
Sites, in units of the cell vectors:
B 0.0000 0.0000 0.0000
B 0.0923 0.0923 0.2833
B 0.2231 0.2231 0.8365
B 0.8478 0.8478 0.2183
C 0.2186 0.2186 0.0976
C 0.4151 0.4151 0.8513
C 0.4399 0.4399 0.6229
C 0.6266 0.6266 0.6608
C 0.6695 0.6695 0.4518
C 0.8579 0.8579 0.4849

# PuUOsPd
Theoretical PXRD pattern, Cu Kα (weighted mean of Kα1 and Kα2). Input: a DFT-relaxed cell (PBE, Alexandria).
No peak broadening, texture or thermal motion is included.

The 6 most intense peaks (15 to 90 degrees two-theta), in order of rising 2θ:
2θ (°)	d/Å	I (rel.)
23.44	3.795	7
38.75	2.324	100
45.79	1.982	4
55.96	1.643	18
70.15	1.342	36
83.14	1.162	12

Cell and atoms:
abc: 6.5725 6.5725 6.5725
angles: 90.00 90.00 90.00
Sites, in units of the cell vectors:
Pu 0.0000 0.0000 0.0000
Pu 0.0000 0.5000 0.5000
Pu 0.5000 0.0000 0.5000
Pu 0.5000 0.5000 0.0000
U 0.2500 0.2500 0.7500
U 0.2500 0.7500 0.2500
U 0.7500 0.2500 0.2500
U 0.7500 0.7500 0.7500
Os 0.0000 0.0000 0.5000
Os 0.0000 0.5000 0.0000
Os 0.5000 0.0000 0.0000
Os 0.5000 0.5000 0.5000
Pd 0.2500 0.2500 0.2500
Pd 0.2500 0.7500 0.7500
Pd 0.7500 0.2500 0.7500
Pd 0.7500 0.7500 0.2500